Simulated powder diffractogram
Compound: TeRuPb
Radiation: Cu Kα, 1.54184 Å
Structure: a PBE-relaxed structure
Peak positions follow from Bragg's law for the DFT cell and can differ from measured ones.

Structure:
a = 4.8527 Å, b = 4.8527 Å, c = 4.8527 Å
α = 60.00°, β = 60.00°, γ = 60.00°
Fractional coordinates of all 3 atoms:
Te (0.0000, 0.0000, 0.0000)
Ru (0.5000, 0.5000, 0.5000)
Pb (0.7500, 0.7500, 0.7500)

Peak list (6 most intense, 2θ = 5–70°, sorted by position)
- 22.4 deg, 3.962 Å, I = 53
- 37.1 deg, 2.426 Å, I = 100
- 43.7 deg, 2.069 Å, I = 29
- 53.4 deg, 1.716 Å, I = 18
- 58.6 deg, 1.574 Å, I = 12
- 66.8 deg, 1.401 Å, I = 36


Simulated powder diffractogram
Compound: PbS
Radiation: Cu Kα, 1.54184 Å
Structure: a PBE-relaxed structure
Peak positions follow from Bragg's law for the DFT cell and can differ from measured ones.

Structure:
a = 6.0365 Å, b = 4.1245 Å, c = 9.9116 Å
α = 90.00°, β = 97.14°, γ = 90.00°
Fractional coordinates of all 8 atoms:
Pb (0.2237, 0.2500, 0.4074)
Pb (0.2406, 0.7500, 0.9005)
Pb (0.7594, 0.2500, 0.0995)
Pb (0.7763, 0.7500, 0.5926)
S (0.0491, 0.7500, 0.1591)
S (0.2697, 0.7500, 0.5985)
S (0.7303, 0.2500, 0.4015)
S (0.9509, 0.2500, 0.8409)

Peak list (10 most intense, 2θ = 5–70°, sorted by position)
- 21.9 deg, 4.056 Å, I = 97
- 23.4 deg, 3.804 Å, I = 74
- 24.8 deg, 3.588 Å, I = 74
- 27.2 deg, 3.283 Å, I = 100
- 28.4 deg, 3.143 Å, I = 94
- 29.8 deg, 2.995 Å, I = 67
- 35.0 deg, 2.566 Å, I = 99
- 39.2 deg, 2.300 Å, I = 52
- 43.9 deg, 2.062 Å, I = 34
- 44.2 deg, 2.050 Å, I = 61


Simulated powder diffractogram
Compound: PbS
Radiation: Cu Kα, 1.54184 Å
Structure: a PBE-relaxed structure
Peak positions follow from Bragg's law for the DFT cell and can differ from measured ones.

Structure:
a = 3.6537 Å, b = 3.6537 Å, c = 3.6537 Å
α = 90.00°, β = 90.00°, γ = 90.00°
Fractional coordinates of all 2 atoms:
Pb (0.0000, 0.0000, 0.0000)
S (0.5000, 0.5000, 0.5000)

Peak list (6 most intense, 2θ = 5–70°, sorted by position)
- 24.4 deg, 3.654 Å, I = 61
- 34.7 deg, 2.584 Å, I = 100
- 42.9 deg, 2.109 Å, I = 20
- 49.9 deg, 1.827 Å, I = 18
- 56.3 deg, 1.634 Å, I = 28
- 62.2 deg, 1.492 Å, I = 37